[1]
This entry pairs a crystal structure of Co4SnN4 with its calculated powder diffractogram. Radiation: Cu Kα (λ = 1.5418 Å). Structure: a structure optimized by DFT (GGA-PBE).

Cell and atoms:
Cell lengths 5.3357, 5.5576, 7.3917 Å; angles 94.55, 98.43, 106.86 degrees
Space group P-1 (No. 2)
Unique sites:
Co  0.0983  0.3501  0.4405 [2 per cell]
Co  0.1497  0.4194  0.0954 [2 per cell]
Co  0.1965  0.9482  0.1075 [2 per cell]
Co  0.3685  0.6966  0.7324 [2 per cell]
Sn  0.3907  0.1943  0.6961 [2 per cell]
N  0.1667  0.1645  0.9286 [2 per cell]
N  0.2334  0.6780  0.9475 [2 per cell]
N  0.2347  0.6951  0.4935 [2 per cell]
N  0.2805  0.2387  0.2829 [2 per cell]

Largest 8 diffraction maxima, low angle first, 10° ≤ 2θ ≤ 90°:
23.3°, I 19, hkl 1 0 1; 27.7°, I 100, hkl 1 0 -2; 37.8°, I 50, hkl 0 2 1; 40.0°, I 46, hkl 2 0 1; 41.0°, I 35, hkl 1 -2 2; 41.4°, I 29, hkl 2 -2 0; 44.4°, I 34, hkl 1 0 3; 51.7°, I 25, hkl -1 2 3

***

[2]
This entry pairs a crystal structure of Zr4W with its calculated powder diffractogram. Radiation: Cu Kα (λ = 1.5418 Å). Structure: a structure optimized by DFT (GGA-PBE).

Cell and atoms:
Cell lengths 10.0611, 10.0611, 10.0611 Å; angles 90.00, 90.00, 90.00 degrees
Space group Fd-3m (No. 227, origin choice 2)
Unique sites:
Zr  0.0198  0.0198  0.2302 [32 per cell]
W  0.1250  0.1250  0.6250 [8 per cell]

Largest 8 diffraction maxima, low angle first, 10° ≤ 2θ ≤ 90°:
25.0°, I 90, hkl 2 2 0; 29.4°, I 30, hkl 3 1 1; 30.8°, I 100, hkl 2 2 2; 39.0°, I 72, hkl 3 3 1; 44.1°, I 25, hkl 4 2 2; 46.9°, I 61, hkl 5 1 1; 51.4°, I 67, hkl 4 4 0; 70.0°, I 27, hkl 6 4 2

***

[3]
This entry pairs a crystal structure of NbSb2 with its calculated powder diffractogram. Radiation: Cu Kα (λ = 1.5418 Å). Structure: a structure optimized by DFT (GGA-PBE).

Cell and atoms:
Cell lengths 10.3546, 3.6754, 8.4253 Å; angles 90.00, 119.99, 90.00 degrees
Space group C2/m (No. 12)
Unique sites:
Nb  0.1517  0.0000  0.1904 [4 per cell]
Sb  0.0950  0.5000  0.8885 [4 per cell]
Sb  0.1490  0.0000  0.5359 [4 per cell]

Largest 8 diffraction maxima, low angle first, 10° ≤ 2θ ≤ 90°:
31.0°, I 100, hkl 1 1 1; 32.4°, I 53, hkl 1 1 -2; 35.8°, I 50, hkl 3 1 -1; 37.0°, I 56, hkl 0 0 3; 38.8°, I 36, hkl 3 1 0; 40.2°, I 35, hkl 4 0 0; 42.1°, I 44, hkl 3 1 -3; 49.6°, I 31, hkl 0 2 0